(1)
This entry pairs a crystal structure of KLaTiO4 with its computed PXRD pattern. Radiation: Cu Kα (weighted mean of Kα1 and Kα2). Structure: the PBE geometry in Alexandria.

Structural model:
```
KLaTiO4
1.0
13.6306 0.0000 0.0000
0.0000 5.4865 0.0000
0.0000 0.0000 5.4657
K La Ti O
4 4 4 16
Direct
0.0935 0.0071 0.2500
0.0935 0.4929 0.7500
0.9064 0.5071 0.2500
0.9064 0.9929 0.7500
0.3957 0.0104 0.2500
0.3957 0.4896 0.7500
0.6043 0.5104 0.2500
0.6043 0.9896 0.7500
0.2430 0.5025 0.2500
0.2430 0.9975 0.7500
0.7570 0.0025 0.2500
0.7570 0.4975 0.7500
0.1140 0.5113 0.2500
0.1140 0.9887 0.7500
0.2694 0.2500 0.0000
0.2694 0.2500 0.5000
0.2788 0.7500 0.0000
0.2788 0.7500 0.5000
0.4335 0.0331 0.7500
0.4335 0.4669 0.2500
0.5665 0.5331 0.7500
0.5665 0.9669 0.2500
0.7212 0.2500 0.0000
0.7212 0.2500 0.5000
0.7306 0.7500 0.0000
0.7306 0.7500 0.5000
0.8860 0.0113 0.2500
0.8860 0.4887 0.7500
```

Principal peaks in the range 10 to 90 degrees two-theta, most intense first:
- 2.947 Å, 2θ 30.33, rel. 1000
- 3.367 Å, 2θ 26.47, rel. 438
- 1.936 Å, 2θ 46.94, rel. 406
- 2.732 Å, 2θ 32.78, rel. 342
- 2.743 Å, 2θ 32.64, rel. 302
- 1.748 Å, 2θ 52.33, rel. 193



(2)
This entry pairs a crystal structure of ErBe3Ni2 with its computed PXRD pattern. Radiation: Cu Kα (weighted mean of Kα1 and Kα2). Structure: the PBE geometry in Alexandria.

Structural model:
```
ErBe3Ni2
1.0
4.3564 -3.4310 0.0000
4.3564 3.4310 0.0000
0.0000 0.0000 4.9190
Er Be Ni
2 6 4
Direct
0.1727 0.8273 0.7500
0.8273 0.1727 0.2500
0.0374 0.5941 0.2500
0.4059 0.9626 0.2500
0.4274 0.5726 0.2500
0.5726 0.4274 0.7500
0.5941 0.0374 0.7500
0.9626 0.4059 0.7500
0.2958 0.2958 0.0000
0.2958 0.2958 0.5000
0.7042 0.7042 0.0000
0.7042 0.7042 0.5000
```

Principal peaks in the range 10 to 90 degrees two-theta, most intense first:
- 3.634 Å, 2θ 24.50, rel. 1000
- 2.142 Å, 2θ 42.19, rel. 467
- 2.695 Å, 2θ 33.24, rel. 447
- 2.350 Å, 2θ 38.31, rel. 396
- 2.364 Å, 2θ 38.07, rel. 349
- 2.675 Å, 2θ 33.51, rel. 341



(3)
This entry pairs a crystal structure of BaZn3Au3 with its computed PXRD pattern. Radiation: Cu Kα (weighted mean of Kα1 and Kα2). Structure: the PBE geometry in Alexandria.

Structural model:
```
BaZn3Au3
1.0
3.5466 2.0476 7.4661
-3.5466 2.0476 7.4661
0.0000 -4.0953 7.4661
Ba Zn Au
2 6 6
Direct
0.1650 0.1650 0.1650
0.8350 0.8350 0.8350
0.0471 0.2137 0.6157
0.2137 0.6157 0.0471
0.3843 0.9529 0.7863
0.6157 0.0471 0.2137
0.7863 0.3843 0.9529
0.9529 0.7863 0.3843
0.1762 0.4070 0.6449
0.3551 0.8238 0.5930
0.4070 0.6449 0.1762
0.5930 0.3551 0.8238
0.6449 0.1762 0.4070
0.8238 0.5930 0.3551
```

Principal peaks in the range 10 to 90 degrees two-theta, most intense first:
- 3.204 Å, 2θ 27.85, rel. 1000
- 2.273 Å, 2θ 39.64, rel. 883
- 2.309 Å, 2θ 39.00, rel. 677
- 2.037 Å, 2θ 44.47, rel. 452
- 3.733 Å, 2θ 23.84, rel. 405
- 2.571 Å, 2θ 34.89, rel. 392



(4)
This entry pairs a crystal structure of Ba2PmMoN4 with its computed PXRD pattern. Radiation: Cu Kα (weighted mean of Kα1 and Kα2). Structure: the PBE geometry in Alexandria.

Structural model:
```
Ba2PmMoN4
1.0
7.7725 0.0000 0.0000
0.0000 7.3666 0.0000
0.0000 0.0000 5.9520
Ba Pm Mo N
4 2 2 8
Direct
0.2490 0.1611 0.0000
0.2510 0.8389 0.5000
0.7490 0.8389 0.5000
0.7510 0.1611 0.0000
0.0000 0.6470 0.0156
0.5000 0.3530 0.5156
0.0000 0.3492 0.5314
0.5000 0.6508 0.0314
0.0000 0.3723 0.8458
0.0000 0.5859 0.4011
0.2074 0.2224 0.4665
0.2926 0.7776 0.9665
0.5000 0.4141 0.9011
0.5000 0.6277 0.3458
0.7074 0.7776 0.9665
0.7926 0.2224 0.4665
```

Principal peaks in the range 10 to 90 degrees two-theta, most intense first:
- 2.976 Å, 2θ 30.02, rel. 1000
- 3.132 Å, 2θ 28.50, rel. 519
- 3.437 Å, 2θ 25.92, rel. 329
- 2.076 Å, 2θ 43.60, rel. 215
- 1.703 Å, 2θ 53.85, rel. 211
- 1.718 Å, 2θ 53.31, rel. 169



(5)
This entry pairs a crystal structure of Sm5Tm4 with its computed PXRD pattern. Radiation: Cu Kα (weighted mean of Kα1 and Kα2). Structure: the PBE geometry in Alexandria.

Structural model:
```
Sm5Tm4
1.0
-5.3568 5.3568 2.5089
5.3568 -5.3568 2.5089
5.3568 5.3568 -2.5089
Sm Tm
5 4
Direct
0.0000 0.0000 0.0000
0.0000 0.3311 0.3311
0.0000 0.6689 0.6689
0.3311 0.0000 0.3311
0.6689 0.0000 0.6689
0.3333 0.3333 0.6666
0.3333 0.6667 0.0000
0.6667 0.3333 0.0000
0.6667 0.6667 0.3334
```

Principal peaks in the range 10 to 90 degrees two-theta, most intense first:
- 2.910 Å, 2θ 30.73, rel. 1000
- 2.525 Å, 2θ 35.55, rel. 339
- 1.522 Å, 2θ 60.87, rel. 287
- 1.780 Å, 2θ 51.34, rel. 240
- 2.509 Å, 2θ 35.79, rel. 167
- 1.515 Å, 2θ 61.19, rel. 142



(6)
This entry pairs a crystal structure of Mg2Zr3Cd2 with its computed PXRD pattern. Radiation: Cu Kα (weighted mean of Kα1 and Kα2). Structure: the PBE geometry in Alexandria.

Structural model:
```
Mg2Zr3Cd2
1.0
4.3035 -2.4895 0.0000
4.3035 2.4895 0.0000
-2.8855 0.0000 7.2347
Mg Zr Cd
2 3 2
Direct
0.0794 0.0794 0.2384
0.9206 0.9206 0.7616
0.3623 0.3623 0.0871
0.5000 0.5000 0.5000
0.6377 0.6377 0.9129
0.2234 0.2234 0.6702
0.7766 0.7766 0.3298
```

Principal peaks in the range 10 to 90 degrees two-theta, most intense first:
- 2.487 Å, 2θ 36.12, rel. 1000
- 2.517 Å, 2θ 35.68, rel. 940
- 1.442 Å, 2θ 64.66, rel. 312
- 4.225 Å, 2θ 21.03, rel. 223
- 1.770 Å, 2θ 51.63, rel. 211
- 2.296 Å, 2θ 39.24, rel. 173



(7)
This entry pairs a crystal structure of DyErO3 with its computed PXRD pattern. Radiation: Cu Kα (weighted mean of Kα1 and Kα2). Structure: the PBE geometry in Alexandria.

Structural model:
```
DyErO3
1.0
5.9299 0.0000 0.0000
-2.9649 5.1354 0.0000
0.0000 0.0000 3.0363
Dy Er O
1 1 3
Direct
0.0000 0.0000 0.0000
0.3333 0.6667 0.0000
0.1679 0.3359 0.5000
0.1679 0.8321 0.5000
0.6641 0.8321 0.5000
```

Principal peaks in the range 10 to 90 degrees two-theta, most intense first:
- 5.135 Å, 2θ 17.27, rel. 1000
- 2.965 Å, 2θ 30.14, rel. 747
- 2.121 Å, 2θ 42.62, rel. 718
- 2.614 Å, 2θ 34.31, rel. 239
- 1.491 Å, 2θ 62.26, rel. 231
- 1.961 Å, 2θ 46.31, rel. 210



(8)
This entry pairs a crystal structure of Be2ZnAg with its computed PXRD pattern. Radiation: Cu Kα (weighted mean of Kα1 and Kα2). Structure: the PBE geometry in Alexandria.

Structural model:
```
Be2ZnAg
1.0
2.8581 0.0000 0.0000
0.0000 2.8581 0.0000
0.0000 0.0000 5.9048
Be Zn Ag
2 1 1
Direct
0.0000 0.0000 0.0000
0.5000 0.5000 0.1763
0.0000 0.0000 0.4145
0.5000 0.5000 0.7434
```

Principal peaks in the range 10 to 90 degrees two-theta, most intense first:
- 2.573 Å, 2θ 34.88, rel. 1000
- 2.054 Å, 2θ 44.10, rel. 652
- 5.905 Å, 2θ 15.00, rel. 641
- 2.021 Å, 2θ 44.85, rel. 394
- 1.410 Å, 2θ 66.29, rel. 201
- 1.173 Å, 2θ 82.18, rel. 198



Please write out number 4 again, unchanged.
This entry pairs a crystal structure of Ba2PmMoN4 with its computed PXRD pattern. Radiation: Cu Kα (weighted mean of Kα1 and Kα2). Structure: the PBE geometry in Alexandria.

Structural model:
```
Ba2PmMoN4
1.0
7.7725 0.0000 0.0000
0.0000 7.3666 0.0000
0.0000 0.0000 5.9520
Ba Pm Mo N
4 2 2 8
Direct
0.2490 0.1611 0.0000
0.2510 0.8389 0.5000
0.7490 0.8389 0.5000
0.7510 0.1611 0.0000
0.0000 0.6470 0.0156
0.5000 0.3530 0.5156
0.0000 0.3492 0.5314
0.5000 0.6508 0.0314
0.0000 0.3723 0.8458
0.0000 0.5859 0.4011
0.2074 0.2224 0.4665
0.2926 0.7776 0.9665
0.5000 0.4141 0.9011
0.5000 0.6277 0.3458
0.7074 0.7776 0.9665
0.7926 0.2224 0.4665
```

Principal peaks in the range 10 to 90 degrees two-theta, most intense first:
- 2.976 Å, 2θ 30.02, rel. 1000
- 3.132 Å, 2θ 28.50, rel. 519
- 3.437 Å, 2θ 25.92, rel. 329
- 2.076 Å, 2θ 43.60, rel. 215
- 1.703 Å, 2θ 53.85, rel. 211
- 1.718 Å, 2θ 53.31, rel. 169



Please write out number 4 again, unchanged.
This entry pairs a crystal structure of Ba2PmMoN4 with its computed PXRD pattern. Radiation: Cu Kα (weighted mean of Kα1 and Kα2). Structure: the PBE geometry in Alexandria.

Structural model:
```
Ba2PmMoN4
1.0
7.7725 0.0000 0.0000
0.0000 7.3666 0.0000
0.0000 0.0000 5.9520
Ba Pm Mo N
4 2 2 8
Direct
0.2490 0.1611 0.0000
0.2510 0.8389 0.5000
0.7490 0.8389 0.5000
0.7510 0.1611 0.0000
0.0000 0.6470 0.0156
0.5000 0.3530 0.5156
0.0000 0.3492 0.5314
0.5000 0.6508 0.0314
0.0000 0.3723 0.8458
0.0000 0.5859 0.4011
0.2074 0.2224 0.4665
0.2926 0.7776 0.9665
0.5000 0.4141 0.9011
0.5000 0.6277 0.3458
0.7074 0.7776 0.9665
0.7926 0.2224 0.4665
```

Principal peaks in the range 10 to 90 degrees two-theta, most intense first:
- 2.976 Å, 2θ 30.02, rel. 1000
- 3.132 Å, 2θ 28.50, rel. 519
- 3.437 Å, 2θ 25.92, rel. 329
- 2.076 Å, 2θ 43.60, rel. 215
- 1.703 Å, 2θ 53.85, rel. 211
- 1.718 Å, 2θ 53.31, rel. 169